1.
# LaGdCo2As2O2
Computed PXRD pattern, Cu Ka. Input: DFT lattice parameters and positions (GGA+U).
Neutral-atom scattering factors, no anomalous dispersion.

Most intense lines, 2θ from 15° to 90°, by angle:
2θ 24.74, I = 11.8, hkl 1 0 1; 2θ 31.38, I = 100.0, hkl 1 0 2; 2θ 31.49, I = 21.5, hkl 1 1 0; 2θ 33.43, I = 13.0, hkl 1 1 1; 2θ 38.73, I = 19.5, hkl 1 1 2; 2θ 45.13, I = 34.7, hkl 2 0 0; 2θ 55.79, I = 30.4, hkl 1 1 4; 2θ 56.00, I = 38.4, hkl 2 1 2; 2θ 65.74, I = 10.8, hkl 2 2 0; 2θ 74.67, I = 12.2, hkl 3 0 2

Atomic structure:
Lattice parameters (Å, degrees): 4.0178 4.0178 8.0909 90.00 90.00 90.00
Atoms (fractional coordinates):
La 0.0000 0.0000 0.0000
Gd 0.5000 0.5000 0.7107
Co 0.0000 0.5000 0.3649
Co 0.5000 0.0000 0.3649
As 0.0000 0.0000 0.5012
As 0.5000 0.5000 0.2231
O 0.0000 0.5000 0.8458
O 0.5000 0.0000 0.8458

***

2.
# CoGeAsO
Computed PXRD pattern, Cu Ka. Input: DFT lattice parameters and positions (GGA+U).
Neutral-atom scattering factors, no anomalous dispersion.

Most intense lines, 2θ from 15° to 90°, by angle:
2θ 27.44, I = 100.0, hkl 1 1 0; 2θ 28.71, I = 43.7, hkl 0 2 0; 2θ 31.62, I = 66.7, hkl 0 0 2; 2θ 31.75, I = 71.4, hkl 1 1 1; 2θ 39.67, I = 46.4, hkl 1 0 2; 2θ 40.70, I = 43.4, hkl 1 2 1; 2θ 47.71, I = 45.2, hkl 2 0 0; 2θ 50.09, I = 54.0, hkl 1 3 0; 2θ 56.40, I = 46.3, hkl 1 1 3; 2θ 60.45, I = 30.5, hkl 1 3 2

Atomic structure:
Lattice parameters (Å, degrees): 3.8123 6.2187 5.6590 90.00 90.00 90.00
Atoms (fractional coordinates):
Co 0.0000 0.2196 0.0000
Co 0.0000 0.7804 0.5000
Ge 0.5000 0.3545 0.5766
Ge 0.5000 0.6455 0.0766
As 0.0000 0.1596 0.4174
As 0.0000 0.8404 0.9174
O 0.5000 0.3717 0.9208
O 0.5000 0.6283 0.4208